# Sm4ZnPt3
Calculated powder diffraction line list, Cu Ka. Input: a DFT-relaxed cell (PBE, Alexandria).
Lines closer than 0.1° are merged.

Structural model:
Cell lengths 3.880, 4.532, 10.894 Å; angles 90.00, 90.00, 90.00 degrees
Space group Pmm2 (No. 25)
Unique sites:
Sm (0.000, 0.000, 0.000)
Sm (0.000, 0.500, 0.269)
Sm (0.500, 0.000, 0.486)
Sm (0.500, 0.500, 0.772)
Zn (0.000, 0.000, 0.706)
Pt (0.000, 0.500, 0.557)
Pt (0.500, 0.000, 0.220)
Pt (0.500, 0.500, 0.043)

Top 10 peaks for 2θ from 15° to 90°, low angle first:
2θ/deg	I/Imax
31.44	100
32.89	28
33.81	19
38.57	27
39.37	79
39.78	33
46.82	21
52.54	15
63.08	18
78.53	17